Record 1
Diffraction record for PuRe2N8. The X-ray powder pattern is theoretical, not measured: it uses the PBE geometry in Alexandria and Cu Kα (λ = 1.5418 Å).

Structure:
Lattice parameters (Å, degrees): 5.6600 5.6600 5.6600 125.06 125.06 81.44
Atoms (fractional coordinates):
Pu: 0.0000 0.0000 0.0000
Re: 0.2500 0.7500 0.5000
Re: 0.7500 0.2500 0.5000
N: 0.1149 0.1149 0.4908
N: 0.1149 0.6240 0.0000
N: 0.3760 0.3760 0.4908
N: 0.3760 0.8851 0.0000
N: 0.6240 0.1149 0.0000
N: 0.6240 0.6240 0.5092
N: 0.8851 0.3760 0.0000
N: 0.8851 0.8851 0.5092

Peak list (8 most intense, 10° ≤ 2θ ≤ 90°, sorted by position)
2θ = 19.9°, d 4.461, intensity 49
2θ = 32.0°, d 2.798, intensity 100
2θ = 34.3°, d 2.611, intensity 28
2θ = 35.8°, d 2.508, intensity 11
2θ = 40.0°, d 2.253, intensity 16
2θ = 49.4°, d 1.846, intensity 20
2θ = 55.4°, d 1.657, intensity 28
2θ = 60.0°, d 1.541, intensity 34

---

Record 2
Diffraction record for PuReN4. The X-ray powder pattern is theoretical, not measured: it uses the PBE geometry in Alexandria and Cu Kα (λ = 1.5418 Å).

Structure:
Lattice parameters (Å, degrees): 5.7597 4.9011 5.7898 90.00 112.11 90.00
Atoms (fractional coordinates):
Pu: 0.0000 0.0000 0.0000
Pu: 0.0000 0.5000 0.5000
Re: 0.5000 0.0000 0.5000
Re: 0.5000 0.5000 0.0000
N: 0.1730 0.1778 0.3755
N: 0.1730 0.3222 0.8755
N: 0.3725 0.7093 0.6857
N: 0.3725 0.7907 0.1857
N: 0.6275 0.2093 0.8143
N: 0.6275 0.2907 0.3143
N: 0.8270 0.6778 0.1245
N: 0.8270 0.8222 0.6245

Peak list (8 most intense, 10° ≤ 2θ ≤ 90°, sorted by position)
2θ = 26.0°, d 3.426, intensity 100
2θ = 33.3°, d 2.694, intensity 47
2θ = 33.4°, d 2.682, intensity 23
2θ = 33.6°, d 2.668, intensity 23
2θ = 50.4°, d 1.809, intensity 18
2θ = 50.6°, d 1.805, intensity 17
2θ = 50.9°, d 1.794, intensity 17
2θ = 63.9°, d 1.457, intensity 18

---

Please write out number 1 again, unchanged.
Diffraction record for PuRe2N8. The X-ray powder pattern is theoretical, not measured: it uses the PBE geometry in Alexandria and Cu Kα (λ = 1.5418 Å).

Structure:
Lattice parameters (Å, degrees): 5.6600 5.6600 5.6600 125.06 125.06 81.44
Atoms (fractional coordinates):
Pu: 0.0000 0.0000 0.0000
Re: 0.2500 0.7500 0.5000
Re: 0.7500 0.2500 0.5000
N: 0.1149 0.1149 0.4908
N: 0.1149 0.6240 0.0000
N: 0.3760 0.3760 0.4908
N: 0.3760 0.8851 0.0000
N: 0.6240 0.1149 0.0000
N: 0.6240 0.6240 0.5092
N: 0.8851 0.3760 0.0000
N: 0.8851 0.8851 0.5092

Peak list (8 most intense, 10° ≤ 2θ ≤ 90°, sorted by position)
2θ = 19.9°, d 4.461, intensity 49
2θ = 32.0°, d 2.798, intensity 100
2θ = 34.3°, d 2.611, intensity 28
2θ = 35.8°, d 2.508, intensity 11
2θ = 40.0°, d 2.253, intensity 16
2θ = 49.4°, d 1.846, intensity 20
2θ = 55.4°, d 1.657, intensity 28
2θ = 60.0°, d 1.541, intensity 34